[1]
# Li3Ti4MnO12
Theoretical powder X-ray diffraction pattern, copper Kα. Input: a DFT-relaxed cell (PBE+U, the Materials Project).
No peak broadening, texture or thermal motion is included.

Peak list (12 most intense, 2θ = 5–70°, by angle)
7.414 Å, I 20
4.168 Å, I 26
3.701 Å, I 100
3.686 Å, I 50
3.215 Å, I 21
2.713 Å, I 96
2.528 Å, I 35
2.517 Å, I 18
2.218 Å, I 42
2.209 Å, I 29
1.705 Å, I 47
1.701 Å, I 46

Structural model:
abc: 5.033 5.457 7.454
angles: 95.96 90.05 90.13
Space group P1 (No. 1)
Symmetry-distinct sites (fractional):
Li 0.000 0.000 0.000 x1
Li 0.001 0.007 0.490 x1
Li 0.499 0.522 0.502 x1
Ti 0.022 0.436 0.291 x1
Ti 0.489 0.956 0.773 x1
Ti 0.508 0.952 0.294 x1
Ti 0.993 0.424 0.771 x1
Mn 0.502 0.553 0.981 x1
O 0.165 0.094 0.740 x1
O 0.169 0.411 0.045 x1
O 0.196 0.718 0.363 x1
O 0.310 0.225 0.361 x1
O 0.326 0.595 0.752 x1
O 0.379 0.880 0.044 x1
O 0.623 0.904 0.544 x1
O 0.676 0.248 0.876 x1
O 0.680 0.583 0.210 x1
O 0.793 0.712 0.872 x1
O 0.823 0.096 0.237 x1
O 0.877 0.412 0.541 x1

---

[2]
# Dy2MgW2Cl2O8
Theoretical powder X-ray diffraction pattern, copper Kα. Input: a DFT-relaxed cell (PBE+U, the Materials Project).
No peak broadening, texture or thermal motion is included.

Peak list (12 most intense, 2θ = 5–70°, by angle)
6.505 Å, I 33
5.838 Å, I 53
5.126 Å, I 52
3.551 Å, I 100
3.464 Å, I 77
3.218 Å, I 50
3.128 Å, I 68
3.080 Å, I 31
2.722 Å, I 70
2.480 Å, I 40
2.098 Å, I 39
1.958 Å, I 31

Structural model:
abc: 10.995 7.102 6.976
angles: 90.00 111.18 90.00
Space group C2 (No. 5)
Symmetry-distinct sites (fractional):
Dy 0.240 0.000 0.108 x4
Mg 0.000 0.693 0.500 x2
W 0.141 0.510 0.265 x4
Cl 0.005 0.952 0.248 x4
O 0.039 0.513 0.780 x4
O 0.183 0.579 0.544 x4
O 0.184 0.308 0.129 x4
O 0.231 0.686 0.164 x4

---

[3]
# MgMn6O8F4
Theoretical powder X-ray diffraction pattern, copper Kα. Input: a DFT-relaxed cell (PBE+U, the Materials Project).
No peak broadening, texture or thermal motion is included.

Peak list (12 most intense, 2θ = 5–70°, by angle)
3.777 Å, I 93
3.360 Å, I 100
2.937 Å, I 23
2.623 Å, I 33
2.615 Å, I 29
2.568 Å, I 42
2.292 Å, I 29
1.855 Å, I 23
1.731 Å, I 18
1.680 Å, I 24
1.523 Å, I 17
1.489 Å, I 18

Structural model:
abc: 5.283 5.788 7.557
angles: 82.97 86.88 83.54
Space group P-1 (No. 2)
Symmetry-distinct sites (fractional):
Mg 0.000 0.000 0.000 x1
Mn 0.000 0.000 0.500 x1
Mn 0.067 0.395 0.229 x2
Mn 0.487 0.858 0.170 x2
Mn 0.500 0.500 0.500 x1
O 0.159 0.054 0.255 x2
O 0.173 0.686 0.577 x2
O 0.354 0.873 0.941 x2
O 0.366 0.564 0.263 x2
F 0.120 0.323 0.928 x2
F 0.324 0.175 0.605 x2

---

[4]
# SrPr3Fe4O12
Theoretical powder X-ray diffraction pattern, copper Kα. Input: a DFT-relaxed cell (PBE+U, the Materials Project).
No peak broadening, texture or thermal motion is included.

Peak list (12 most intense, 2θ = 5–70°, by angle)
3.946 Å, I 11
2.806 Å, I 23
2.784 Å, I 100
2.775 Å, I 25
2.283 Å, I 9
2.267 Å, I 11
1.976 Å, I 13
1.970 Å, I 14
1.964 Å, I 15
1.616 Å, I 14
1.609 Å, I 10
1.604 Å, I 33

Structural model:
abc: 5.550 7.856 5.611
angles: 90.00 90.18 90.00
Space group Pm (No. 6)
Symmetry-distinct sites (fractional):
Sr 0.000 0.000 0.000 x1
Pr 0.014 0.500 0.076 x1
Pr 0.498 0.500 0.572 x1
Pr 0.519 0.000 0.488 x1
Fe 0.006 0.249 0.534 x2
Fe 0.507 0.249 0.030 x2
O 0.088 0.000 0.539 x1
O 0.221 0.297 0.817 x2
O 0.289 0.295 0.315 x2
O 0.447 0.000 0.052 x1
O 0.584 0.500 0.013 x1
O 0.711 0.214 0.737 x2
O 0.785 0.218 0.250 x2
O 0.930 0.500 0.516 x1

---

[5]
# Na8CoO6
Theoretical powder X-ray diffraction pattern, copper Kα. Input: a DFT-relaxed cell (PBE+U, the Materials Project).
No peak broadening, texture or thermal motion is included.

Peak list (12 most intense, 2θ = 5–70°, by angle)
5.510 Å, I 55
4.163 Å, I 100
3.180 Å, I 53
3.086 Å, I 91
2.845 Å, I 44
2.753 Å, I 51
2.544 Å, I 39
2.528 Å, I 61
1.986 Å, I 44
1.978 Å, I 60
1.837 Å, I 100
1.485 Å, I 32

Structural model:
abc: 6.3622 6.3622 12.7100
angles: 90.00 90.00 120.00
Space group P6_3cm (No. 185)
Symmetry-distinct sites (fractional):
Na 0.0000 0.2970 0.0000 x6
Na 0.0000 0.3854 0.3540 x6
Na 0.3333 0.6667 0.1425 x4
Co 0.0000 0.0000 0.2270 x2
O 0.0000 0.0000 0.3736 x2
O 0.0000 0.2715 0.1821 x6
O 0.3333 0.6667 0.4513 x4

---

[6]
# Mn12O7F17
Theoretical powder X-ray diffraction pattern, copper Kα. Input: a DFT-relaxed cell (PBE+U, the Materials Project).
No peak broadening, texture or thermal motion is included.

Peak list (12 most intense, 2θ = 5–70°, by angle)
3.718 Å, I 96
3.630 Å, I 95
3.056 Å, I 100
3.030 Å, I 95
3.001 Å, I 97
2.987 Å, I 92
2.648 Å, I 39
1.780 Å, I 48
1.763 Å, I 44
1.759 Å, I 36
1.719 Å, I 35
1.714 Å, I 34

Structural model:
abc: 4.768 5.764 15.889
angles: 89.80 89.47 88.60
Space group P1 (No. 1)
Symmetry-distinct sites (fractional):
Mn 0.000 0.000 0.000 x1
Mn 0.004 0.681 0.841 x1
Mn 0.016 0.016 0.338 x1
Mn 0.023 0.981 0.673 x1
Mn 0.043 0.691 0.177 x1
Mn 0.505 0.506 0.333 x1
Mn 0.514 0.208 0.836 x1
Mn 0.523 0.510 0.993 x1
Mn 0.536 0.204 0.498 x1
Mn 0.542 0.189 0.156 x1
Mn 0.565 0.522 0.667 x1
Mn 0.987 0.672 0.503 x1
O 0.214 0.733 0.947 x1
O 0.241 0.738 0.286 x1
O 0.720 0.472 0.887 x1
O 0.724 0.448 0.557 x1
O 0.729 0.250 0.386 x1
O 0.744 0.239 0.045 x1
O 0.819 0.738 0.727 x1
F 0.237 0.969 0.110 x1
F 0.239 0.976 0.451 x1
F 0.251 0.233 0.941 x1
F 0.252 0.965 0.785 x1
F 0.254 0.731 0.610 x1
F 0.267 0.465 0.438 x1
F 0.277 0.242 0.268 x1
F 0.280 0.210 0.614 x1
F 0.297 0.471 0.769 x1
F 0.302 0.476 0.104 x1
F 0.738 0.469 0.224 x1
F 0.758 0.751 0.391 x1
F 0.763 0.227 0.725 x1
F 0.763 0.965 0.894 x1
F 0.778 0.953 0.563 x1
F 0.780 0.747 0.069 x1
F 0.791 0.969 0.227 x1